Record 1
KAg2ICl2: calculated powder diffractogram (Cu Kα X-rays), based on a structure optimized by DFT (PBE).
Intensities are scaled so that the largest is 100.

Structural model:
```
data_KAg2ICl2
_cell_length_a 7.2700
_cell_length_b 5.7620
_cell_length_c 9.5220
_cell_angle_alpha 90.00
_cell_angle_beta 110.12
_cell_angle_gamma 90.00
_symmetry_space_group_name_H-M 'P 1'
_symmetry_Int_Tables_number 1
_symmetry_space_group_name_Hall 'P 1'
loop_
_atom_site_label
_atom_site_fract_x
_atom_site_fract_y
_atom_site_fract_z
K1 0.1788 0.2500 0.4037
K2 0.8212 0.7500 0.5963
Ag1 0.3844 0.9998 0.8391
Ag2 0.3844 0.5002 0.8391
Ag3 0.6156 0.0002 0.1609
Ag4 0.6156 0.4998 0.1609
I1 0.2461 0.7500 0.0516
I2 0.7539 0.2500 0.9484
Cl1 0.0686 0.2500 0.6924
Cl2 0.4023 0.7500 0.6108
Cl3 0.5977 0.2500 0.3892
Cl4 0.9314 0.7500 0.3076
```

Principal peaks in the range 2θ = 10–90°, by intensity:
2θ = 13.34°, rel. 100; 2θ = 12.97°, rel. 64; 2θ = 24.45°, rel. 56; 2θ = 39.93°, rel. 50; 2θ = 31.10°, rel. 47; 2θ = 41.51°, rel. 47; 2θ = 28.25°, rel. 46; 2θ = 33.92°, rel. 39; 2θ = 43.70°, rel. 37; 2θ = 41.84°, rel. 31

Record 2
RbAg2ICl2: calculated powder diffractogram (Cu Kα X-rays), based on a structure optimized by DFT (PBE).
Intensities are scaled so that the largest is 100.

Structural model:
```
data_RbAg2ICl2
_cell_length_a 7.5815
_cell_length_b 5.8165
_cell_length_c 9.3332
_cell_angle_alpha 90.00
_cell_angle_beta 109.44
_cell_angle_gamma 90.00
_symmetry_space_group_name_H-M 'P 1'
_symmetry_Int_Tables_number 1
_symmetry_space_group_name_Hall 'P 1'
loop_
_atom_site_label
_atom_site_fract_x
_atom_site_fract_y
_atom_site_fract_z
Rb1 0.1773 0.2500 0.3880
Rb2 0.8227 0.7500 0.6120
Ag1 0.3828 0.9996 0.8392
Ag2 0.3828 0.5004 0.8392
Ag3 0.6172 0.0004 0.1608
Ag4 0.6172 0.4996 0.1608
I1 0.2648 0.7500 0.0649
I2 0.7352 0.2500 0.9351
Cl1 0.0807 0.2500 0.7062
Cl2 0.3869 0.7500 0.6047
Cl3 0.6131 0.2500 0.3953
Cl4 0.9193 0.7500 0.2938
```

Principal peaks in the range 2θ = 10–90°, by intensity:
2θ = 13.10°, rel. 100; 2θ = 10.05°, rel. 91; 2θ = 40.95°, rel. 77; 2θ = 12.38°, rel. 67; 2θ = 28.79°, rel. 62; 2θ = 25.38°, rel. 52; 2θ = 23.98°, rel. 52; 2θ = 20.14°, rel. 47; 2θ = 33.55°, rel. 45; 2θ = 43.83°, rel. 38

Record 3
InAgCl3: calculated powder diffractogram (Cu Kα X-rays), based on a structure optimized by DFT (PBE).
Intensities are scaled so that the largest is 100.

Structural model:
```
data_InAgCl3
_cell_length_a 6.6565
_cell_length_b 6.6565
_cell_length_c 10.1334
_cell_angle_alpha 90.00
_cell_angle_beta 90.00
_cell_angle_gamma 147.20
_symmetry_space_group_name_H-M 'P 1'
_symmetry_Int_Tables_number 1
_symmetry_space_group_name_Hall 'P 1'
loop_
_atom_site_label
_atom_site_fract_x
_atom_site_fract_y
_atom_site_fract_z
In1 0.2393 0.7607 0.7500
In2 0.7607 0.2393 0.2500
Ag1 0.0000 0.0000 0.0000
Ag2 0.0000 0.0000 0.5000
Cl1 0.1004 0.8996 0.2500
Cl2 0.3605 0.6395 0.0753
Cl3 0.3605 0.6395 0.4247
Cl4 0.6395 0.3605 0.5753
Cl5 0.6395 0.3605 0.9247
Cl6 0.8996 0.1004 0.7500
```

Principal peaks in the range 2θ = 10–90°, by intensity:
2θ = 22.40°, rel. 100; 2θ = 36.47°, rel. 72; 2θ = 33.00°, rel. 46; 2θ = 46.26°, rel. 23; 2θ = 35.43°, rel. 21; 2θ = 43.67°, rel. 20; 2θ = 24.69°, rel. 19; 2θ = 31.76°, rel. 19; 2θ = 53.99°, rel. 18; 2θ = 45.72°, rel. 16

Record 4
ScIn2AgCl6: calculated powder diffractogram (Cu Kα X-rays), based on a structure optimized by DFT (PBE).
Intensities are scaled so that the largest is 100.

Structural model:
```
data_ScIn2AgCl6
_cell_length_a 7.1619
_cell_length_b 7.1619
_cell_length_c 7.1619
_cell_angle_alpha 62.02
_cell_angle_beta 62.02
_cell_angle_gamma 62.02
_symmetry_space_group_name_H-M 'P 1'
_symmetry_Int_Tables_number 1
_symmetry_space_group_name_Hall 'P 1'
loop_
_atom_site_label
_atom_site_fract_x
_atom_site_fract_y
_atom_site_fract_z
Sc1 0.0000 0.0000 0.0000
In1 0.2502 0.2502 0.2502
In2 0.7499 0.7499 0.7499
Ag1 0.5004 0.5004 0.5004
Cl1 0.1669 0.3084 0.7714
Cl2 0.2274 0.8335 0.6911
Cl3 0.3084 0.7714 0.1669
Cl4 0.6911 0.2274 0.8335
Cl5 0.7714 0.1669 0.3084
Cl6 0.8335 0.6911 0.2274
```

Principal peaks in the range 2θ = 10–90°, by intensity:
2θ = 34.93°, rel. 100; 2θ = 24.89°, rel. 89; 2θ = 24.12°, rel. 82; 2θ = 42.90°, rel. 48; 2θ = 42.43°, rel. 34; 2θ = 51.06°, rel. 31; 2θ = 29.81°, rel. 29; 2θ = 49.40°, rel. 25; 2θ = 28.74°, rel. 21; 2θ = 57.23°, rel. 20

Record 5
LiAg2IrCl6: calculated powder diffractogram (Cu Kα X-rays), based on a structure optimized by DFT (PBE).
Intensities are scaled so that the largest is 100.

Structural model:
```
data_LiAg2IrCl6
_cell_length_a 6.7626
_cell_length_b 6.7626
_cell_length_c 6.7626
_cell_angle_alpha 60.00
_cell_angle_beta 60.00
_cell_angle_gamma 60.00
_symmetry_space_group_name_H-M 'P 1'
_symmetry_Int_Tables_number 1
_symmetry_space_group_name_Hall 'P 1'
loop_
_atom_site_label
_atom_site_fract_x
_atom_site_fract_y
_atom_site_fract_z
Li1 0.0000 0.0000 0.0000
Ag1 0.2500 0.2500 0.2500
Ag2 0.7500 0.7500 0.7500
Ir1 0.5000 0.5000 0.5000
Cl1 0.2565 0.2565 0.7435
Cl2 0.2565 0.7435 0.2565
Cl3 0.2565 0.7435 0.7435
Cl4 0.7435 0.2565 0.2565
Cl5 0.7435 0.2565 0.7435
Cl6 0.7435 0.7435 0.2565
```

Principal peaks in the range 2θ = 10–90°, by intensity:
2θ = 26.36°, rel. 100; 2θ = 16.05°, rel. 66; 2θ = 37.62°, rel. 65; 2θ = 46.52°, rel. 44; 2θ = 54.26°, rel. 42; 2θ = 31.01°, rel. 36; 2θ = 74.20°, rel. 22; 2θ = 32.43°, rel. 20; 2θ = 61.30°, rel. 20; 2θ = 49.52°, rel. 15

Record 6
K2AgPbCl6: calculated powder diffractogram (Cu Kα X-rays), based on a structure optimized by DFT (PBE).
Intensities are scaled so that the largest is 100.

Structural model:
```
data_K2AgPbCl6
_cell_length_a 7.5411
_cell_length_b 7.5411
_cell_length_c 7.5406
_cell_angle_alpha 119.95
_cell_angle_beta 119.95
_cell_angle_gamma 60.06
_symmetry_space_group_name_H-M 'P 1'
_symmetry_Int_Tables_number 1
_symmetry_space_group_name_Hall 'P 1'
loop_
_atom_site_label
_atom_site_fract_x
_atom_site_fract_y
_atom_site_fract_z
K1 0.2499 0.2499 0.2499
K2 0.7501 0.7501 0.7501
Ag1 0.0000 0.0000 0.5000
Pb1 0.5000 0.5000 0.0000
Cl1 0.2444 0.2444 0.7430
Cl2 0.2436 0.7545 0.2548
Cl3 0.2455 0.7564 0.7452
Cl4 0.7545 0.2436 0.2548
Cl5 0.7564 0.2455 0.7452
Cl6 0.7556 0.7556 0.2570
```

Principal peaks in the range 2θ = 10–90°, by intensity:
2θ = 16.62°, rel. 100; 2θ = 23.59°, rel. 99; 2θ = 33.60°, rel. 72; 2θ = 37.71°, rel. 53; 2θ = 48.25°, rel. 48; 2θ = 41.46°, rel. 46; 2θ = 51.39°, rel. 27; 2θ = 65.47°, rel. 24; 2θ = 54.39°, rel. 21; 2θ = 80.53°, rel. 20

Record 7
K2AgPbCl6: calculated powder diffractogram (Cu Kα X-rays), based on a structure optimized by DFT (PBE).
Intensities are scaled so that the largest is 100.

Structural model:
```
data_K2AgPbCl6
_cell_length_a 7.4851
_cell_length_b 7.4851
_cell_length_c 7.4851
_cell_angle_alpha 121.17
_cell_angle_beta 121.17
_cell_angle_gamma 87.98
_symmetry_space_group_name_H-M 'P 1'
_symmetry_Int_Tables_number 1
_symmetry_space_group_name_Hall 'P 1'
loop_
_atom_site_label
_atom_site_fract_x
_atom_site_fract_y
_atom_site_fract_z
K1 0.2500 0.7500 0.5000
K2 0.7500 0.2500 0.5000
Ag1 0.0000 0.0000 0.0000
Pb1 0.5000 0.5000 0.0000
Cl1 0.1759 0.6888 0.8648
Cl2 0.2457 0.2457 0.0000
Cl3 0.3112 0.1759 0.4871
Cl4 0.6888 0.8241 0.5129
Cl5 0.7543 0.7543 0.0000
Cl6 0.8241 0.3112 0.1352
```

Principal peaks in the range 2θ = 10–90°, by intensity:
2θ = 23.79°, rel. 100; 2θ = 17.06°, rel. 96; 2θ = 24.21°, rel. 76; 2θ = 42.35°, rel. 71; 2θ = 16.46°, rel. 62; 2θ = 34.51°, rel. 61; 2θ = 33.27°, rel. 45; 2θ = 48.69°, rel. 44; 2θ = 38.73°, rel. 41; 2θ = 51.97°, rel. 40

Record 8
AgMoCl6: calculated powder diffractogram (Cu Kα X-rays), based on a structure optimized by DFT (PBE).
Intensities are scaled so that the largest is 100.

Structural model:
```
data_AgMoCl6
_cell_length_a 6.7398
_cell_length_b 6.7398
_cell_length_c 6.7398
_cell_angle_alpha 60.00
_cell_angle_beta 60.00
_cell_angle_gamma 60.00
_symmetry_space_group_name_H-M 'P 1'
_symmetry_Int_Tables_number 1
_symmetry_space_group_name_Hall 'P 1'
loop_
_atom_site_label
_atom_site_fract_x
_atom_site_fract_y
_atom_site_fract_z
Ag1 0.0000 0.0000 0.0000
Mo1 0.2500 0.2500 0.2500
Cl1 0.0051 0.0051 0.4949
Cl2 0.0051 0.4949 0.0051
Cl3 0.0051 0.4949 0.4949
Cl4 0.4949 0.0051 0.0051
Cl5 0.4949 0.0051 0.4949
Cl6 0.4949 0.4949 0.0051
```

Principal peaks in the range 2θ = 10–90°, by intensity:
2θ = 16.11°, rel. 100; 2θ = 37.75°, rel. 65; 2θ = 31.12°, rel. 55; 2θ = 54.46°, rel. 41; 2θ = 32.54°, rel. 39; 2θ = 26.45°, rel. 36; 2θ = 41.29°, rel. 23; 2θ = 49.70°, rel. 21; 2θ = 57.17°, rel. 20; 2θ = 46.69°, rel. 16

Record 9
NbTl2AgCl6: calculated powder diffractogram (Cu Kα X-rays), based on a structure optimized by DFT (PBE).
Intensities are scaled so that the largest is 100.

Structural model:
```
data_NbTl2AgCl6
_cell_length_a 7.3476
_cell_length_b 7.3476
_cell_length_c 7.3476
_cell_angle_alpha 121.98
_cell_angle_beta 121.98
_cell_angle_gamma 86.61
_symmetry_space_group_name_H-M 'P 1'
_symmetry_Int_Tables_number 1
_symmetry_space_group_name_Hall 'P 1'
loop_
_atom_site_label
_atom_site_fract_x
_atom_site_fract_y
_atom_site_fract_z
Nb1 0.0000 0.0000 0.0000
Tl1 0.2500 0.7500 0.5000
Tl2 0.7500 0.2500 0.5000
Ag1 0.5000 0.5000 0.0000
Cl1 0.1759 0.6968 0.8727
Cl2 0.2340 0.2340 0.0000
Cl3 0.3032 0.1759 0.4791
Cl4 0.6968 0.8241 0.5209
Cl5 0.7660 0.7660 0.0000
Cl6 0.8241 0.3032 0.1273
```

Principal peaks in the range 2θ = 10–90°, by intensity:
2θ = 24.27°, rel. 100; 2θ = 24.99°, rel. 60; 2θ = 43.58°, rel. 57; 2θ = 35.63°, rel. 40; 2θ = 49.72°, rel. 30; 2θ = 42.26°, rel. 29; 2θ = 30.14°, rel. 29; 2θ = 33.52°, rel. 28; 2θ = 57.86°, rel. 20; 2θ = 68.55°, rel. 19

Record 10
NiAg2Cl4: calculated powder diffractogram (Cu Kα X-rays), based on a structure optimized by DFT (PBE).
Intensities are scaled so that the largest is 100.

Structural model:
```
data_NiAg2Cl4
_cell_length_a 6.4355
_cell_length_b 6.4355
_cell_length_c 8.0590
_cell_angle_alpha 90.00
_cell_angle_beta 90.00
_cell_angle_gamma 78.32
_symmetry_space_group_name_H-M 'P 1'
_symmetry_Int_Tables_number 1
_symmetry_space_group_name_Hall 'P 1'
loop_
_atom_site_label
_atom_site_fract_x
_atom_site_fract_y
_atom_site_fract_z
Ni1 0.0000 0.0000 0.0000
Ni2 0.5000 0.5000 0.5000
Ag1 0.0254 0.4746 0.2500
Ag2 0.4746 0.0254 0.7500
Ag3 0.5254 0.9746 0.2500
Ag4 0.9746 0.5254 0.7500
Cl1 0.1840 0.8160 0.2008
Cl2 0.2195 0.2195 0.0000
Cl3 0.2805 0.2805 0.5000
Cl4 0.3160 0.6840 0.7008
Cl5 0.6840 0.3160 0.2992
Cl6 0.7195 0.7195 0.5000
Cl7 0.7805 0.7805 0.0000
Cl8 0.8160 0.1840 0.7992
```

Principal peaks in the range 2θ = 10–90°, by intensity:
2θ = 31.26°, rel. 100; 2θ = 17.83°, rel. 73; 2θ = 48.40°, rel. 49; 2θ = 36.00°, rel. 38; 2θ = 36.18°, rel. 30; 2θ = 28.47°, rel. 22; 2θ = 28.32°, rel. 22; 2θ = 30.46°, rel. 21; 2θ = 44.99°, rel. 17; 2θ = 22.06°, rel. 17

Record 11
AgPb4ClO4: calculated powder diffractogram (Cu Kα X-rays), based on a structure optimized by DFT (PBE).
Intensities are scaled so that the largest is 100.

Structural model:
```
data_AgPb4ClO4
_cell_length_a 8.2363
_cell_length_b 8.2363
_cell_length_c 6.2440
_cell_angle_alpha 90.00
_cell_angle_beta 90.00
_cell_angle_gamma 90.00
_symmetry_space_group_name_H-M 'P 1'
_symmetry_Int_Tables_number 1
_symmetry_space_group_name_Hall 'P 1'
loop_
_atom_site_label
_atom_site_fract_x
_atom_site_fract_y
_atom_site_fract_z
Ag1 0.2500 0.2500 0.0890
Ag2 0.7500 0.7500 0.9110
Pb1 0.0629 0.8969 0.2379
Pb2 0.1031 0.5629 0.7621
Pb3 0.3969 0.9371 0.7621
Pb4 0.4371 0.6031 0.2379
Pb5 0.5629 0.3969 0.7621
Pb6 0.6031 0.0629 0.2379
Pb7 0.8969 0.4371 0.2379
Pb8 0.9371 0.1031 0.7621
Cl1 0.2500 0.2500 0.4935
Cl2 0.7500 0.7500 0.5065
O1 0.0089 0.6584 0.0829
O2 0.1584 0.9911 0.9171
O3 0.3416 0.5089 0.9171
O4 0.4911 0.8416 0.0829
O5 0.5089 0.1584 0.9171
O6 0.6584 0.4911 0.0829
O7 0.8416 0.0089 0.0829
O8 0.9911 0.3416 0.9171
```

Principal peaks in the range 2θ = 10–90°, by intensity:
2θ = 28.13°, rel. 100; 2θ = 34.43°, rel. 26; 2θ = 50.36°, rel. 21; 2θ = 47.81°, rel. 19; 2θ = 36.10°, rel. 15; 2θ = 28.59°, rel. 15; 2θ = 55.76°, rel. 12; 2θ = 45.35°, rel. 12; 2θ = 57.90°, rel. 10; 2θ = 21.58°, rel. 9

Record 12
AgPbCl6: calculated powder diffractogram (Cu Kα X-rays), based on a structure optimized by DFT (PBE).
Intensities are scaled so that the largest is 100.

Structural model:
```
data_AgPbCl6
_cell_length_a 6.9758
_cell_length_b 6.9758
_cell_length_c 6.9758
_cell_angle_alpha 60.00
_cell_angle_beta 60.00
_cell_angle_gamma 60.00
_symmetry_space_group_name_H-M 'P 1'
_symmetry_Int_Tables_number 1
_symmetry_space_group_name_Hall 'P 1'
loop_
_atom_site_label
_atom_site_fract_x
_atom_site_fract_y
_atom_site_fract_z
Ag1 0.0000 0.0000 0.0000
Pb1 0.7500 0.7500 0.7500
Cl1 0.0072 0.0072 0.4928
Cl2 0.0072 0.4928 0.0072
Cl3 0.0072 0.4928 0.4928
Cl4 0.4928 0.0072 0.0072
Cl5 0.4928 0.0072 0.4928
Cl6 0.4928 0.4928 0.0072
```

Principal peaks in the range 2θ = 10–90°, by intensity:
2θ = 15.56°, rel. 100; 2θ = 30.04°, rel. 71; 2θ = 25.54°, rel. 56; 2θ = 36.43°, rel. 53; 2θ = 39.83°, rel. 37; 2θ = 52.47°, rel. 35; 2θ = 17.98°, rel. 31; 2θ = 45.02°, rel. 26; 2θ = 47.91°, rel. 24; 2θ = 55.07°, rel. 24